Theoretical powder diffraction line list of Tm2LuFe3Co6 for Cu Kα, from the GGA-PBE geometry in OQMD.
No peak broadening, texture or thermal motion is included.

Structural model:
```
data_Tm2LuFe3Co6
_chemical_formula_sum 'Tm6 Lu3 Fe9 Co18'
_cell_length_a 4.9854
_cell_length_b 4.9854
_cell_length_c 23.6262
_cell_angle_alpha 90.00
_cell_angle_beta 90.00
_cell_angle_gamma 120.00
_symmetry_space_group_name_H-M 'R -3 m'
_symmetry_Int_Tables_number 166
_symmetry_space_group_name_Hall '-R 3 2"'
loop_
_atom_site_label
_atom_site_fract_x
_atom_site_fract_y
_atom_site_fract_z
Tm1 0.0000 0.0000 0.1400
Lu1 0.0000 0.0000 0.0000
Fe1 0.0000 0.0000 0.3343
Fe2 0.0000 0.0000 0.5000
Co1 0.0041 0.5020 0.9178
```

Principal peaks in the range 2θ = 15–90°, in order of rising 2θ:
hkl  two_theta  intensity
1 0 1  20.92  18.6
1 0 7  33.71  55.5
1 1 0  36.03  60.7
0 1 8  36.87  44.5
0 2 1  42.03  43.8
1 1 6  42.94  100.0
2 1 7  63.30  19.0
1 2 8  65.33  15.6
3 0 6  69.55  22.7
2 2 0  76.42  22.3